(1)
Computed PXRD pattern of Mg3AgC4O12 for λ = 1.5418 Å (Cu Kα), from a structure optimized by DFT (GGA-PBE).
Intensities are scaled so that the largest is 100.

Crystal structure
Lattice parameters (Å, degrees): 6.152 6.152 6.152 103.05 103.05 103.05
Atoms (fractional coordinates):
1 Mg 0.000 0.544 0.456
2 Mg 0.456 0.000 0.544
3 Mg 0.544 0.456 0.000
4 Ag 0.000 0.000 0.000
5 C 0.042 0.500 0.958
6 C 0.500 0.500 0.500
7 C 0.500 0.958 0.042
8 C 0.958 0.042 0.500
9 O 0.026 0.616 0.808
10 O 0.092 0.908 0.500
11 O 0.192 0.384 0.974
12 O 0.365 0.635 0.500
13 O 0.384 0.974 0.192
14 O 0.500 0.092 0.908
15 O 0.500 0.365 0.635
16 O 0.616 0.808 0.026
17 O 0.635 0.500 0.365
18 O 0.808 0.026 0.616
19 O 0.908 0.500 0.092
20 O 0.974 0.192 0.384

Peak list (10 most intense, 5 to 70 degrees two-theta, in order of rising 2θ)
d 5.733, rel. 42.9
d 4.816, rel. 24.6
d 3.688, rel. 19.6
d 2.928, rel. 26.2
d 2.867, rel. 100.0
d 2.463, rel. 24.8
d 2.408, rel. 17.9
d 2.220, rel. 20.1
d 1.784, rel. 18.9
d 1.776, rel. 22.3

***

(2)
Computed PXRD pattern of TaCoMoOs for λ = 1.5418 Å (Cu Kα), from a structure optimized by DFT (GGA-PBE).
Intensities are scaled so that the largest is 100.

Crystal structure
Lattice parameters (Å, degrees): 3.183 3.183 5.870 90.00 90.00 90.00
Atoms (fractional coordinates):
1 Ta 0.000 0.000 0.000
2 Co 0.500 0.500 0.806
3 Mo 0.500 0.500 0.302
4 Os 0.000 0.000 0.533

Peak list (10 most intense, 5 to 70 degrees two-theta, in order of rising 2θ)
d 3.183, rel. 23.3
d 2.935, rel. 11.5
d 2.798, rel. 4.4
d 2.251, rel. 61.1
d 2.158, rel. 100.0
d 1.786, rel. 11.5
d 1.591, rel. 20.6
d 1.468, rel. 5.8
d 1.423, rel. 4.8
d 1.399, rel. 5.3

***

(3)
Computed PXRD pattern of Al3Ni8 for λ = 1.5418 Å (Cu Kα), from a structure optimized by DFT (GGA-PBE).
Intensities are scaled so that the largest is 100.

Crystal structure
Lattice parameters (Å, degrees): 5.369 5.369 5.369 96.58 96.58 96.58
Atoms (fractional coordinates):
1 Al 0.000 0.500 0.500
2 Al 0.500 0.000 0.500
3 Al 0.500 0.500 0.000
4 Ni 0.031 0.933 0.687
5 Ni 0.067 0.313 0.969
6 Ni 0.313 0.969 0.067
7 Ni 0.361 0.361 0.361
8 Ni 0.639 0.639 0.639
9 Ni 0.687 0.031 0.933
10 Ni 0.933 0.687 0.031
11 Ni 0.969 0.067 0.313

Peak list (10 most intense, 5 to 70 degrees two-theta, in order of rising 2θ)
d 5.288, rel. 51.4
d 4.008, rel. 73.1
d 3.194, rel. 23.3
d 2.644, rel. 37.6
d 2.498, rel. 71.9
d 2.207, rel. 90.9
d 1.958, rel. 73.7
d 1.874, rel. 100.0
d 1.763, rel. 43.7
d 1.614, rel. 59.9

***

(4)
Computed PXRD pattern of LaTb3Sm12 for λ = 1.5418 Å (Cu Kα), from a structure optimized by DFT (GGA-PBE).
Intensities are scaled so that the largest is 100.

Crystal structure
Lattice parameters (Å, degrees): 5.122 5.122 20.518 90.00 90.00 90.00
Atoms (fractional coordinates):
1 La 0.000 0.000 0.000
2 Tb 0.000 0.000 0.251
3 Tb 0.000 0.000 0.500
4 Tb 0.000 0.000 0.749
5 Sm 0.000 0.500 0.128
6 Sm 0.000 0.500 0.376
7 Sm 0.000 0.500 0.624
8 Sm 0.000 0.500 0.872
9 Sm 0.500 0.000 0.128
10 Sm 0.500 0.000 0.376
11 Sm 0.500 0.000 0.624
12 Sm 0.500 0.000 0.872
13 Sm 0.500 0.500 0.000
14 Sm 0.500 0.500 0.252
15 Sm 0.500 0.500 0.500
16 Sm 0.500 0.500 0.748

Peak list (5 most intense, 5 to 70 degrees two-theta, in order of rising 2θ)
d 2.959, rel. 100.0
d 2.562, rel. 50.6
d 1.812, rel. 36.1
d 1.545, rel. 43.0
d 1.479, rel. 12.4